This entry pairs a crystal structure of ZrNi4Br with its simulated XRD peak list. Radiation: CuKα. Structure: a structure optimized by DFT (PBE).

Main lines, by angle (10 to 80 degrees two-theta):
- 36.48 deg, 2.463 Å, I 38.2
- 43.06 deg, 2.100 Å, I 100.0
- 45.08 deg, 2.011 Å, I 30.5
- 52.55 deg, 1.742 Å, I 1.4
- 65.66 deg, 1.422 Å, I 13.1
- 70.20 deg, 1.341 Å, I 28.9
- 77.51 deg, 1.232 Å, I 23.6

Structure:
Cell: 4.9260 4.9260 4.9260 Å, 60.00 60.00 60.00°
Atoms (fractional coordinates):
Zr1 0.0000 0.0000 0.0000
Ni1 0.3741 0.3741 0.3741
Ni2 0.3741 0.3741 0.8776
Ni3 0.3741 0.8776 0.3741
Ni4 0.8776 0.3741 0.3741
Br1 0.7500 0.7500 0.7500

This entry pairs a crystal structure of TaNbPd4 with its simulated XRD peak list. Radiation: CuKα. Structure: a structure optimized by DFT (PBE).

Main lines, by angle (10 to 80 degrees two-theta):
- 10.43 deg, 8.485 Å, I 14.9
- 38.79 deg, 2.322 Å, I 100.0
- 39.30 deg, 2.293 Å, I 96.3
- 44.89 deg, 2.019 Å, I 65.8
- 46.39 deg, 1.957 Å, I 29.9
- 64.65 deg, 1.442 Å, I 10.9
- 66.07 deg, 1.414 Å, I 10.2
- 66.54 deg, 1.405 Å, I 40.0
- 78.34 deg, 1.220 Å, I 25.0
- 79.33 deg, 1.208 Å, I 24.1

Structure:
Cell: 2.8836 3.9143 8.4850 Å, 90.00 90.00 90.00°
Atoms (fractional coordinates):
Ta1 0.0000 0.0000 0.0000
Nb1 0.5000 0.5000 0.5000
Pd1 0.0000 0.0000 0.3337
Pd2 0.0000 0.0000 0.6663
Pd3 0.5000 0.5000 0.1643
Pd4 0.5000 0.5000 0.8357

This entry pairs a crystal structure of Hg2I3Cl with its simulated XRD peak list. Radiation: CuKα. Structure: a structure optimized by DFT (PBE).

Main lines, by angle (10 to 80 degrees two-theta):
- 11.61 deg, 7.624 Å, I 89.7
- 11.93 deg, 7.418 Å, I 40.4
- 21.59 deg, 4.117 Å, I 100.0
- 22.75 deg, 3.909 Å, I 47.0
- 23.99 deg, 3.709 Å, I 49.3
- 36.37 deg, 2.471 Å, I 29.4
- 37.98 deg, 2.369 Å, I 34.1
- 39.70 deg, 2.271 Å, I 31.5
- 39.82 deg, 2.264 Å, I 29.5
- 45.89 deg, 1.978 Å, I 27.6

Structure:
Cell: 15.1091 15.1091 8.3422 Å, 96.67 96.67 17.23°
Atoms (fractional coordinates):
Hg1 0.0369 0.0369 0.2015
Hg2 0.3005 0.3005 0.6502
Hg3 0.6995 0.6995 0.3498
Hg4 0.9631 0.9631 0.7985
I1 0.0593 0.0593 0.8765
I2 0.2889 0.2889 0.3317
I3 0.4301 0.4301 0.6065
I4 0.5699 0.5699 0.3935
I5 0.7111 0.7111 0.6683
I6 0.9407 0.9407 0.1235
Cl1 0.3236 0.3236 0.9273
Cl2 0.6764 0.6764 0.0727

This entry pairs a crystal structure of PdRuPt6 with its simulated XRD peak list. Radiation: CuKα. Structure: a structure optimized by DFT (PBE).

Main lines, by angle (10 to 80 degrees two-theta):
- 22.48 deg, 3.955 Å, I 3.2
- 22.62 deg, 3.930 Å, I 1.5
- 32.00 deg, 2.797 Å, I 1.4
- 32.11 deg, 2.788 Å, I 2.7
- 39.55 deg, 2.279 Å, I 100.0
- 45.89 deg, 1.977 Å, I 33.0
- 46.20 deg, 1.965 Å, I 16.0
- 51.72 deg, 1.768 Å, I 1.5
- 66.92 deg, 1.398 Å, I 10.8
- 67.16 deg, 1.394 Å, I 21.1

Structure:
Cell: 3.9550 3.9550 7.8603 Å, 90.00 90.00 90.00°
Atoms (fractional coordinates):
Pd1 0.0000 0.0000 0.0000
Ru1 0.0000 0.0000 0.5000
Pt1 0.0000 0.5000 0.2555
Pt2 0.0000 0.5000 0.7445
Pt3 0.5000 0.0000 0.2555
Pt4 0.5000 0.0000 0.7445
Pt5 0.5000 0.5000 0.0000
Pt6 0.5000 0.5000 0.5000

This entry pairs a crystal structure of PrBe2Cu9 with its simulated XRD peak list. Radiation: CuKα. Structure: a structure optimized by DFT (PBE).

Main lines, by angle (10 to 80 degrees two-theta):
- 25.34 deg, 3.515 Å, I 25.1
- 30.38 deg, 2.942 Å, I 29.6
- 33.32 deg, 2.689 Å, I 20.6
- 39.96 deg, 2.256 Å, I 18.6
- 40.23 deg, 2.242 Å, I 100.0
- 40.58 deg, 2.223 Å, I 81.2
- 43.42 deg, 2.084 Å, I 24.4
- 46.26 deg, 1.962 Å, I 24.0
- 47.91 deg, 1.899 Å, I 35.4
- 73.59 deg, 1.287 Å, I 25.8

Structure:
Cell: 7.7230 7.7230 7.7230 Å, 99.87 99.87 131.08°
Atoms (fractional coordinates):
Pr1 0.3750 0.6250 0.7500
Pr2 0.6250 0.3750 0.2500
Be1 0.0000 0.0000 0.0000
Be2 0.0000 0.0000 0.5000
Be3 0.0000 0.5000 0.0000
Be4 0.5000 0.0000 0.5000
Cu1 0.1250 0.8750 0.2500
Cu2 0.1478 0.5712 0.3303
Cu3 0.1478 0.8174 0.5766
Cu4 0.1826 0.2592 0.3303
Cu5 0.1826 0.8522 0.9234
Cu6 0.2592 0.1826 0.8303
Cu7 0.2592 0.4288 0.0766
Cu8 0.4288 0.2592 0.5766
Cu9 0.4288 0.8522 0.1697
Cu10 0.5712 0.1478 0.8303
Cu11 0.5712 0.7408 0.4234
Cu12 0.7408 0.5712 0.9234
Cu13 0.7408 0.8174 0.1697
Cu14 0.8174 0.1478 0.0766
Cu15 0.8174 0.7408 0.6697
Cu16 0.8522 0.1826 0.4234
Cu17 0.8522 0.4288 0.6697
Cu18 0.8750 0.1250 0.7500

This entry pairs a crystal structure of AcGa2Pd6 with its simulated XRD peak list. Radiation: CuKα. Structure: a structure optimized by DFT (PBE).

Main lines, by angle (10 to 80 degrees two-theta):
- 13.35 deg, 6.632 Å, I 6.2
- 25.72 deg, 3.463 Å, I 45.8
- 31.15 deg, 2.872 Å, I 68.6
- 40.82 deg, 2.211 Å, I 16.4
- 44.63 deg, 2.030 Å, I 100.0
- 52.22 deg, 1.752 Å, I 6.7
- 55.42 deg, 1.658 Å, I 17.7
- 62.07 deg, 1.495 Å, I 13.0
- 64.95 deg, 1.436 Å, I 16.0
- 73.78 deg, 1.284 Å, I 22.5

Structure:
Cell: 8.1220 8.1220 8.1220 Å, 60.00 60.00 60.00°
Atoms (fractional coordinates):
Ac1 0.1250 0.1250 0.1250
Ac2 0.8750 0.8750 0.8750
Ga1 0.0000 0.5000 0.5000
Ga2 0.5000 0.0000 0.5000
Ga3 0.5000 0.5000 0.0000
Ga4 0.5000 0.5000 0.5000
Pd1 0.1283 0.1283 0.6217
Pd2 0.1283 0.6217 0.1283
Pd3 0.1283 0.6217 0.6217
Pd4 0.3783 0.3783 0.8717
Pd5 0.3783 0.8717 0.3783
Pd6 0.3783 0.8717 0.8717
Pd7 0.6217 0.1283 0.1283
Pd8 0.6217 0.1283 0.6217
Pd9 0.6217 0.6217 0.1283
Pd10 0.8717 0.3783 0.3783
Pd11 0.8717 0.3783 0.8717
Pd12 0.8717 0.8717 0.3783

This entry pairs a crystal structure of Sr3Cu8Rh3 with its simulated XRD peak list. Radiation: CuKα. Structure: a structure optimized by DFT (PBE).

Main lines, by angle (10 to 80 degrees two-theta):
- 11.30 deg, 7.832 Å, I 61.7
- 17.60 deg, 5.039 Å, I 58.3
- 34.35 deg, 2.611 Å, I 36.3
- 35.14 deg, 2.554 Å, I 100.0
- 35.63 deg, 2.520 Å, I 69.7
- 37.10 deg, 2.423 Å, I 56.8
- 42.12 deg, 2.145 Å, I 61.5
- 42.75 deg, 2.115 Å, I 77.1
- 45.98 deg, 1.974 Å, I 98.7
- 56.83 deg, 1.620 Å, I 35.0

Structure:
Cell: 8.2820 8.2820 8.2820 Å, 150.40 105.04 82.58°
Atoms (fractional coordinates):
Sr1 0.0000 0.0000 0.0000
Sr2 0.3190 0.3190 0.0000
Sr3 0.6810 0.6810 0.0000
Cu1 0.0056 0.3050 0.7006
Cu2 0.1656 0.8906 0.2751
Cu3 0.3845 0.1094 0.2751
Cu4 0.3957 0.6950 0.7006
Cu5 0.6043 0.3050 0.2994
Cu6 0.6155 0.8906 0.7249
Cu7 0.8344 0.1094 0.7249
Cu8 0.9944 0.6950 0.2994
Rh1 0.2817 0.5000 0.7817
Rh2 0.5000 0.0000 0.5000
Rh3 0.7183 0.5000 0.2183

This entry pairs a crystal structure of NaPa2Ni2Se6 with its simulated XRD peak list. Radiation: CuKα. Structure: a structure optimized by DFT (PBE).

Main lines, by angle (10 to 80 degrees two-theta):
- 14.29 deg, 6.198 Å, I 45.0
- 14.41 deg, 6.145 Å, I 56.0
- 14.83 deg, 5.972 Å, I 58.4
- 15.12 deg, 5.861 Å, I 38.2
- 27.80 deg, 3.209 Å, I 58.8
- 28.46 deg, 3.136 Å, I 54.3
- 28.76 deg, 3.105 Å, I 100.0
- 37.61 deg, 2.392 Å, I 35.5
- 38.05 deg, 2.365 Å, I 33.9
- 43.04 deg, 2.101 Å, I 33.6

Structure:
Cell: 7.1863 7.2942 7.4045 Å, 62.78 61.32 62.00°
Atoms (fractional coordinates):
Na1 0.0000 0.0000 0.0000
Pa1 0.3336 0.9936 0.3318
Pa2 0.6664 0.0064 0.6682
Ni1 0.4656 0.5626 0.6510
Ni2 0.5344 0.4374 0.3490
Se1 0.0841 0.7501 0.7169
Se2 0.2731 0.2524 0.5620
Se3 0.4431 0.7524 0.0663
Se4 0.5569 0.2476 0.9337
Se5 0.7269 0.7476 0.4380
Se6 0.9159 0.2499 0.2831

Please write out number 4 again, unchanged.
This entry pairs a crystal structure of PdRuPt6 with its simulated XRD peak list. Radiation: CuKα. Structure: a structure optimized by DFT (PBE).

Main lines, by angle (10 to 80 degrees two-theta):
- 22.48 deg, 3.955 Å, I 3.2
- 22.62 deg, 3.930 Å, I 1.5
- 32.00 deg, 2.797 Å, I 1.4
- 32.11 deg, 2.788 Å, I 2.7
- 39.55 deg, 2.279 Å, I 100.0
- 45.89 deg, 1.977 Å, I 33.0
- 46.20 deg, 1.965 Å, I 16.0
- 51.72 deg, 1.768 Å, I 1.5
- 66.92 deg, 1.398 Å, I 10.8
- 67.16 deg, 1.394 Å, I 21.1

Structure:
Cell: 3.9550 3.9550 7.8603 Å, 90.00 90.00 90.00°
Atoms (fractional coordinates):
Pd1 0.0000 0.0000 0.0000
Ru1 0.0000 0.0000 0.5000
Pt1 0.0000 0.5000 0.2555
Pt2 0.0000 0.5000 0.7445
Pt3 0.5000 0.0000 0.2555
Pt4 0.5000 0.0000 0.7445
Pt5 0.5000 0.5000 0.0000
Pt6 0.5000 0.5000 0.5000